This entry pairs a crystal structure of CsInSe2O10 with its theoretical powder diffraction line list. Radiation: Cu Kα (λ = 1.5418 Å). Structure: the PBE geometry in the Materials Project.
Lines closer than 0.1° are merged.

Cell lengths 9.6562, 14.3217, 7.4942 Å; angles 90.00, 107.25, 90.00 degrees
Space group C2/c (No. 15)
Inequivalent atoms, fractional coordinates:
Cs: 0.0000 0.1139 0.2500
In: 0.0000 0.3238 0.7500
Se: 0.2416 0.3596 0.1800
O: 0.0970 0.2983 0.0487
O: 0.1445 0.2175 0.6781
O: 0.1758 0.4194 0.7363
O: 0.1783 0.0866 0.9611
O: 0.1909 0.4313 0.3251

Top 10 peaks for 2θ = 10–90°, low angle first:
2θ 14.60, I = 21
2θ 23.21, I = 100
2θ 24.88, I = 73
2θ 25.84, I = 18
2θ 28.80, I = 60
2θ 31.84, I = 13
2θ 32.74, I = 13
2θ 35.47, I = 15
2θ 39.08, I = 23
2θ 39.71, I = 17



This entry pairs a crystal structure of CsInTe3O8 with its theoretical powder diffraction line list. Radiation: Cu Kα (λ = 1.5418 Å). Structure: the PBE geometry in the Materials Project.
Lines closer than 0.1° are merged.

Cell lengths 5.9245, 7.9519, 11.4943 Å; angles 79.30, 89.39, 69.72 degrees
Space group P-1 (No. 2)
Inequivalent atoms, fractional coordinates:
Cs: 0.1810 0.1101 0.3386
In: 0.0000 0.5000 0.0000
In: 0.5000 0.5000 0.5000
Te: 0.0764 0.3252 0.6526
Te: 0.2183 0.0118 0.9208
Te: 0.4863 0.5239 0.1653
O: 0.1148 0.9637 0.1022
O: 0.1638 0.7222 0.4289
O: 0.1844 0.2566 0.9228
O: 0.2322 0.0744 0.7341
O: 0.2398 0.6280 0.9022
O: 0.2745 0.3960 0.1487
O: 0.2944 0.3133 0.5302
O: 0.4065 0.5767 0.6732

Top 10 peaks for 2θ = 10–90°, low angle first:
2θ 23.27, I = 54
2θ 23.99, I = 36
2θ 24.33, I = 44
2θ 26.29, I = 100
2θ 26.60, I = 67
2θ 27.04, I = 54
2θ 29.47, I = 76
2θ 30.06, I = 69
2θ 30.19, I = 95
2θ 43.59, I = 28



This entry pairs a crystal structure of Cs3InP2 with its theoretical powder diffraction line list. Radiation: Cu Kα (λ = 1.5418 Å). Structure: the PBE geometry in the Materials Project.
Lines closer than 0.1° are merged.

Cell lengths 9.8752, 13.1148, 16.0542 Å; angles 80.97, 81.49, 70.76 degrees
Space group P-1 (No. 2)
Inequivalent atoms, fractional coordinates:
Cs: 0.0212 0.1354 0.4614
Cs: 0.0423 0.1479 0.9142
Cs: 0.0879 0.5145 0.1886
Cs: 0.0964 0.1669 0.1789
Cs: 0.2302 0.2710 0.6455
Cs: 0.2649 0.8287 0.2650
Cs: 0.2815 0.8074 0.8854
Cs: 0.2876 0.5364 0.7531
Cs: 0.3519 0.2681 0.3248
Cs: 0.3887 0.6645 0.5147
Cs: 0.4397 0.6007 0.0844
Cs: 0.4567 0.0153 0.7995
In: 0.1385 0.5236 0.4381
In: 0.1633 0.3938 0.9872
In: 0.3649 0.9855 0.5725
In: 0.4165 0.1441 0.9908
P: 0.0343 0.5800 0.5865
P: 0.1065 0.6088 0.9611
P: 0.1596 0.9789 0.6805
P: 0.3013 0.2816 0.8585
P: 0.3102 0.9756 0.0388
P: 0.3486 0.5434 0.3406
P: 0.3563 0.2923 0.0983
P: 0.4115 0.9516 0.4165

Top 10 peaks for 2θ = 10–90°, low angle first:
2θ 21.16, I = 55
2θ 21.65, I = 40
2θ 24.53, I = 42
2θ 26.36, I = 77
2θ 27.95, I = 55
2θ 28.13, I = 73
2θ 28.24, I = 100
2θ 29.52, I = 54
2θ 30.29, I = 48
2θ 31.24, I = 41



This entry pairs a crystal structure of Cs2In2Sb3 with its theoretical powder diffraction line list. Radiation: Cu Kα (λ = 1.5418 Å). Structure: the PBE geometry in the Materials Project.
Lines closer than 0.1° are merged.

Cell lengths 16.1517, 7.7940, 18.4358 Å; angles 90.00, 90.55, 90.00 degrees
Space group P2_1/c (No. 14)
Inequivalent atoms, fractional coordinates:
Cs: 0.0547 0.0508 0.1027
Cs: 0.1528 0.5405 0.0183
Cs: 0.3574 0.0232 0.0053
Cs: 0.4249 0.5295 0.1097
In: 0.0941 0.7415 0.2593
In: 0.1846 0.2219 0.3246
In: 0.3188 0.7357 0.3182
In: 0.4072 0.2084 0.2682
Sb: 0.0252 0.0443 0.3324
Sb: 0.1739 0.5652 0.3815
Sb: 0.2467 0.6677 0.6774
Sb: 0.2549 0.2024 0.1805
Sb: 0.3334 0.0552 0.3964
Sb: 0.4717 0.5358 0.3234

Top 10 peaks for 2θ = 10–90°, low angle first:
2θ 23.33, I = 26
2θ 24.68, I = 35
2θ 24.83, I = 100
2θ 25.30, I = 54
2θ 25.38, I = 24
2θ 27.27, I = 56
2θ 27.37, I = 36
2θ 28.93, I = 39
2θ 29.23, I = 24
2θ 41.30, I = 41